1.
Computed PXRD pattern of Li5MnOF5 for a wavelength of 1.5418 Å, from a structure optimized by DFT (GGA+U).
Kinematic intensities with the Lorentz-polarization factor, no thermal factor.

Structure:
Unit cell a=3.2981 b=3.2981 c=14.9251 alpha=90.00 beta=90.00 gamma=120.00
Space group P3m1 (No. 156)
Inequivalent atoms, fractional coordinates:
1 Li 0.0000 0.0000 0.0000 x1
2 Li 0.0000 0.0000 0.3214 x1
3 Li 0.0000 0.0000 0.6433 x1
4 Li 0.6667 0.3333 0.1600 x1
5 Li 0.6667 0.3333 0.4825 x1
6 Mn 0.6667 0.3333 0.8139 x1
7 O 0.0000 0.0000 0.7764 x1
8 F 0.0000 0.0000 0.1266 x1
9 F 0.0000 0.0000 0.4489 x1
10 F 0.6667 0.3333 0.2873 x1
11 F 0.6667 0.3333 0.6091 x1
12 F 0.6667 0.3333 0.9672 x1

Peak list (6 most intense, 5° ≤ 2θ ≤ 70°, by angle)
5.92°, 14.925 Å, I 100, hkl 0 0 1; 11.86°, 7.463 Å, I 25, hkl 0 0 2; 31.32°, 2.856 Å, I 44, hkl 1 0 0; 31.90°, 2.805 Å, I 18, hkl 1 0 1; 36.11°, 2.488 Å, I 21, hkl 0 0 6; 55.74°, 1.649 Å, I 22, hkl 1 1 0



2.
Computed PXRD pattern of Mg6CrCoO8 for a wavelength of 1.5418 Å, from a structure optimized by DFT (GGA+U).
Kinematic intensities with the Lorentz-polarization factor, no thermal factor.

Structure:
Unit cell a=4.2743 b=4.2743 c=8.5816 alpha=90.00 beta=90.00 gamma=90.00
Space group P4/mmm (No. 123)
Inequivalent atoms, fractional coordinates:
1 Mg 0.0000 0.0000 0.0000 x1
2 Mg 0.0000 0.0000 0.5000 x1
3 Mg 0.0000 0.5000 0.2452 x4
4 Cr 0.5000 0.5000 0.5000 x1
5 Co 0.5000 0.5000 0.0000 x1
6 O 0.0000 0.0000 0.2499 x2
7 O 0.0000 0.5000 0.0000 x2
8 O 0.0000 0.5000 0.5000 x2
9 O 0.5000 0.5000 0.2616 x2

Peak list (6 most intense, 5° ≤ 2θ ≤ 70°, by angle)
20.75°, 4.280 Å, I 27, hkl 0 0 2; 36.36°, 2.471 Å, I 38, hkl 1 1 2; 42.12°, 2.145 Å, I 50, hkl 0 0 4; 42.29°, 2.137 Å, I 100, hkl 2 0 0; 61.22°, 1.514 Å, I 56, hkl 2 0 4; 61.35°, 1.511 Å, I 28, hkl 2 2 0



3.
Computed PXRD pattern of NpNiO3F6 for a wavelength of 1.5418 Å, from a structure optimized by DFT (GGA+U).
Kinematic intensities with the Lorentz-polarization factor, no thermal factor.

Structure:
Unit cell a=11.6553 b=6.7436 c=8.4471 alpha=90.00 beta=100.33 gamma=90.00
Space group C2 (No. 5)
Inequivalent atoms, fractional coordinates:
1 Np 0.0000 0.0000 0.0000 x2
2 Np 0.0000 0.1774 0.5000 x2
3 Ni 0.2501 0.3389 0.2490 x4
4 O 0.0000 0.4454 0.5000 x2
5 O 0.0000 0.7321 0.0000 x2
6 O 0.1868 0.5964 0.7921 x4
7 O 0.1911 0.5867 0.2834 x4
8 F 0.0695 0.9501 0.2391 x4
9 F 0.0731 0.2267 0.7376 x4
10 F 0.1001 0.2653 0.0798 x4
11 F 0.1013 0.9117 0.5783 x4
12 F 0.1687 0.2264 0.4306 x4
13 F 0.1696 0.9522 0.9352 x4

Peak list (6 most intense, 5° ≤ 2θ ≤ 70°, by angle)
15.24°, 5.813 Å, I 100, hkl 1 1 0; 15.46°, 5.733 Å, I 28, hkl 2 0 0; 19.41°, 4.572 Å, I 48, hkl 1 1 1; 24.09°, 3.694 Å, I 32, hkl 2 0 -2; 25.19°, 3.536 Å, I 24, hkl 1 1 -2; 28.71°, 3.110 Å, I 21, hkl 2 0 2



4.
Computed PXRD pattern of Mn6O5F7 for a wavelength of 1.5418 Å, from a structure optimized by DFT (GGA+U).
Kinematic intensities with the Lorentz-polarization factor, no thermal factor.

Structure:
Unit cell a=4.7086 b=5.7197 c=15.6826 alpha=90.25 beta=90.05 gamma=91.65
Space group P1 (No. 1)
Inequivalent atoms, fractional coordinates:
1 Mn 0.0000 0.0000 0.0000 x1
2 Mn 0.0001 0.0018 0.6723 x1
3 Mn 0.0231 0.2898 0.5007 x1
4 Mn 0.0305 0.2847 0.8334 x1
5 Mn 0.4898 0.8239 0.5187 x1
6 Mn 0.4980 0.4995 0.6752 x1
7 Mn 0.5167 0.4796 0.3404 x1
8 Mn 0.5209 0.7912 0.1764 x1
9 Mn 0.5600 0.8154 0.8427 x1
10 Mn 0.5654 0.4804 0.0026 x1
11 Mn 0.9654 0.3194 0.1744 x1
12 Mn 0.9936 0.0000 0.3344 x1
13 O 0.2061 0.0287 0.5631 x1
14 O 0.2291 0.2548 0.3898 x1
15 O 0.2352 0.2687 0.7244 x1
16 O 0.7124 0.7649 0.6239 x1
17 O 0.7194 0.5438 0.1218 x1
18 O 0.7240 0.7574 0.2862 x1
19 O 0.7613 0.7652 0.9446 x1
20 O 0.7684 0.2530 0.2783 x1
21 O 0.8052 0.0344 0.7807 x1
22 O 0.8199 0.2487 0.9410 x1
23 F 0.2155 0.2766 0.0651 x1
24 F 0.2346 0.0291 0.2177 x1
25 F 0.2517 0.5352 0.5700 x1
26 F 0.2564 0.5341 0.2334 x1
27 F 0.2606 0.7617 0.4000 x1
28 F 0.2628 0.7818 0.0625 x1
29 F 0.2897 0.0331 0.8991 x1
30 F 0.2933 0.7690 0.7432 x1
31 F 0.2986 0.5227 0.8911 x1
32 F 0.7262 0.5424 0.4580 x1
33 F 0.7474 0.5300 0.7804 x1
34 F 0.7480 0.0365 0.4452 x1
35 F 0.7482 0.0448 0.1101 x1
36 F 0.7505 0.2718 0.6067 x1

Peak list (6 most intense, 5° ≤ 2θ ≤ 70°, by angle)
24.14°, 3.686 Å, I 53, hkl 1 -1 0; 24.85°, 3.584 Å, I 51, hkl 1 1 0; 29.66°, 3.012 Å, I 100, hkl -1 1 3; 30.19°, 2.961 Å, I 49, hkl 1 1 -3; 30.29°, 2.951 Å, I 50, hkl 1 1 3; 52.31°, 1.749 Å, I 62, hkl 2 0 6



5.
Computed PXRD pattern of Ba2FeF6 for a wavelength of 1.5418 Å, from a structure optimized by DFT (GGA+U).
Kinematic intensities with the Lorentz-polarization factor, no thermal factor.

Structure:
Unit cell a=4.2493 b=4.2493 c=16.2173 alpha=90.00 beta=90.00 gamma=90.00
Space group I4/mmm (No. 139)
Inequivalent atoms, fractional coordinates:
1 Ba 0.0000 0.0000 0.1529 x4
2 Fe 0.0000 0.0000 0.5000 x2
3 F 0.0000 0.0000 0.3777 x4
4 F 0.0000 0.5000 0.0000 x4
5 F 0.0000 0.5000 0.2500 x4

Peak list (6 most intense, 5° ≤ 2θ ≤ 70°, by angle)
26.68°, 3.341 Å, I 100, hkl 1 0 3; 29.73°, 3.005 Å, I 37, hkl 1 1 0; 37.25°, 2.414 Å, I 34, hkl 1 1 4; 42.55°, 2.125 Å, I 33, hkl 2 0 0; 45.12°, 2.009 Å, I 23, hkl 1 1 6; 50.94°, 1.793 Å, I 33, hkl 2 1 3



6.
Computed PXRD pattern of Ni5O6 for a wavelength of 1.5418 Å, from a structure optimized by DFT (GGA+U).
Kinematic intensities with the Lorentz-polarization factor, no thermal factor.

Structure:
Unit cell a=5.2375 b=8.7471 c=5.2018 alpha=90.00 beta=111.61 gamma=90.00
Space group C2/m (No. 12)
Inequivalent atoms, fractional coordinates:
1 Ni 0.0000 0.0000 0.0000 x2
2 Ni 0.0000 0.1699 0.5000 x4
3 Ni 0.0000 0.3390 0.0000 x4
4 O 0.2185 0.1844 0.2335 x8
5 O 0.2438 0.5000 0.2148 x4

Peak list (6 most intense, 5° ≤ 2θ ≤ 70°, by angle)
36.92°, 2.435 Å, I 26, hkl 2 0 0; 37.20°, 2.417 Å, I 77, hkl 0 0 2; 41.85°, 2.159 Å, I 59, hkl 2 0 -2; 43.77°, 2.068 Å, I 100, hkl 1 3 1; 61.98°, 1.497 Å, I 31, hkl 3 3 -1; 62.34°, 1.489 Å, I 30, hkl 1 3 -3